Record 1
Computed PXRD pattern
Compound: LiTlInHg2
Radiation: copper Kα
Structure: a GGA-PBE-relaxed structure

Principal peaks in the range 2θ from 10° to 80°, sorted by position:
2theta, I_rel
14.3, 34
25.0, 93
35.6, 85
35.7, 100
44.1, 21
48.8, 20
51.3, 30
64.1, 50

Cell and atoms:
a = 5.026 Å, b = 5.026 Å, c = 6.192 Å
α = 90.00°, β = 90.00°, γ = 120.00°
Atoms (fractional coordinates):
Li: 0.000 0.000 0.000
Tl: 0.667 0.333 0.284
In: 0.333 0.667 0.638
Hg: 0.000 0.000 0.535
Hg: 0.333 0.667 0.109



Record 2
Computed PXRD pattern
Compound: Li2YIn2Hg2
Radiation: copper Kα
Structure: a GGA-PBE-relaxed structure

Principal peaks in the range 2θ from 10° to 80°, sorted by position:
2theta, I_rel
21.6, 60
22.9, 36
26.3, 27
34.4, 100
37.4, 98
44.2, 39
51.7, 31
65.5, 31

Cell and atoms:
a = 8.265 Å, b = 8.265 Å, c = 8.265 Å
α = 33.87°, β = 33.87°, γ = 33.87°
Atoms (fractional coordinates):
Li: 0.140 0.140 0.140
Li: 0.860 0.860 0.860
Y: 0.000 0.000 0.000
In: 0.268 0.268 0.268
In: 0.732 0.732 0.732
Hg: 0.433 0.433 0.433
Hg: 0.567 0.567 0.567



Record 3
Computed PXRD pattern
Compound: Li3ZnIn3Hg2
Radiation: copper Kα
Structure: a GGA-PBE-relaxed structure

Principal peaks in the range 2θ from 10° to 80°, sorted by position:
2theta, I_rel
21.8, 100
27.4, 52
35.3, 43
37.7, 41
38.3, 85
44.0, 49
47.8, 55
70.5, 28

Cell and atoms:
a = 8.136 Å, b = 8.136 Å, c = 3.251 Å
α = 90.00°, β = 90.00°, γ = 120.00°
Atoms (fractional coordinates):
Li: 0.000 0.372 0.000
Li: 0.372 0.000 0.000
Li: 0.628 0.628 0.000
Zn: 0.000 0.000 0.000
In: 0.000 0.710 0.500
In: 0.290 0.290 0.500
In: 0.710 0.000 0.500
Hg: 0.333 0.667 0.500
Hg: 0.667 0.333 0.500



Record 4
Computed PXRD pattern
Compound: MgIn3Hg7
Radiation: copper Kα
Structure: a GGA-PBE-relaxed structure

Principal peaks in the range 2θ from 10° to 80°, sorted by position:
2theta, I_rel
31.2, 39
31.5, 46
32.2, 100
32.6, 89
33.5, 51
38.8, 49
39.4, 68
39.7, 34

Cell and atoms:
a = 7.499 Å, b = 7.499 Å, c = 7.135 Å
α = 104.51°, β = 104.51°, γ = 49.81°
Atoms (fractional coordinates):
Mg: 0.000 0.000 0.000
In: 0.368 0.865 0.732
In: 0.489 0.489 0.010
In: 0.865 0.368 0.732
Hg: 0.087 0.594 0.678
Hg: 0.385 0.385 0.323
Hg: 0.413 0.917 0.306
Hg: 0.594 0.087 0.678
Hg: 0.785 0.785 0.053
Hg: 0.917 0.413 0.306
Hg: 0.964 0.964 0.400



Record 5
Computed PXRD pattern
Compound: Mg3InHg6
Radiation: copper Kα
Structure: a GGA-PBE-relaxed structure

Principal peaks in the range 2θ from 10° to 80°, sorted by position:
2theta, I_rel
22.2, 16
22.5, 29
26.0, 17
30.7, 15
31.0, 37
36.7, 25
36.9, 100
37.5, 28

Cell and atoms:
a = 4.798 Å, b = 8.478 Å, c = 12.898 Å
α = 90.00°, β = 111.66°, γ = 90.00°
Atoms (fractional coordinates):
Mg: 0.000 0.000 0.000
Mg: 0.000 0.500 0.500
Mg: 0.157 0.160 0.657
Mg: 0.157 0.340 0.157
Mg: 0.843 0.660 0.843
Mg: 0.843 0.840 0.343
In: 0.500 0.000 0.500
In: 0.500 0.500 0.000
Hg: 0.111 0.694 0.111
Hg: 0.111 0.806 0.611
Hg: 0.245 0.005 0.245
Hg: 0.245 0.495 0.745
Hg: 0.399 0.641 0.399
Hg: 0.399 0.859 0.899
Hg: 0.601 0.141 0.101
Hg: 0.601 0.359 0.601
Hg: 0.755 0.505 0.255
Hg: 0.755 0.995 0.755
Hg: 0.889 0.194 0.389
Hg: 0.889 0.306 0.889



Record 6
Computed PXRD pattern
Compound: Mg3InHg
Radiation: copper Kα
Structure: a GGA-PBE-relaxed structure

Principal peaks in the range 2θ from 10° to 80°, sorted by position:
2theta, I_rel
21.7, 35
26.0, 72
26.1, 100
29.0, 33
36.5, 53
37.9, 38
46.8, 30
49.6, 30

Cell and atoms:
a = 4.709 Å, b = 6.163 Å, c = 8.260 Å
α = 90.00°, β = 90.00°, γ = 90.00°
Atoms (fractional coordinates):
Mg: 0.250 0.004 0.211
Mg: 0.250 0.496 0.211
Mg: 0.250 0.750 0.572
Mg: 0.750 0.250 0.428
Mg: 0.750 0.504 0.789
Mg: 0.750 0.996 0.789
In: 0.250 0.250 0.643
In: 0.750 0.750 0.357
Hg: 0.250 0.750 0.919
Hg: 0.750 0.250 0.081



Record 7
Computed PXRD pattern
Compound: Mg2In5Hg5
Radiation: copper Kα
Structure: a GGA-PBE-relaxed structure

Principal peaks in the range 2θ from 10° to 80°, sorted by position:
2theta, I_rel
30.4, 92
31.7, 100
34.4, 72
36.6, 64
36.8, 67
39.8, 47
43.7, 40
45.3, 24

Cell and atoms:
a = 4.711 Å, b = 6.863 Å, c = 10.090 Å
α = 103.04°, β = 101.44°, γ = 97.90°
Atoms (fractional coordinates):
Mg: 0.040 0.444 0.156
Mg: 0.960 0.556 0.844
In: 0.000 0.500 0.500
In: 0.057 0.995 0.342
In: 0.469 0.269 0.918
In: 0.531 0.731 0.082
In: 0.943 0.005 0.658
Hg: 0.000 0.000 0.000
Hg: 0.453 0.777 0.758
Hg: 0.499 0.715 0.392
Hg: 0.501 0.285 0.608
Hg: 0.547 0.223 0.242



Record 8
Computed PXRD pattern
Compound: Mg7In12Hg
Radiation: copper Kα
Structure: a GGA-PBE-relaxed structure

Principal peaks in the range 2θ from 10° to 80°, sorted by position:
2theta, I_rel
25.9, 72
26.2, 71
26.5, 69
36.8, 100
37.3, 32
37.4, 73
38.4, 30
45.4, 18

Cell and atoms:
a = 5.999 Å, b = 10.043 Å, c = 10.088 Å
α = 114.55°, β = 100.72°, γ = 102.44°
Atoms (fractional coordinates):
Mg: 0.000 0.000 0.000
Mg: 0.154 0.773 0.710
Mg: 0.378 0.938 0.229
Mg: 0.447 0.294 0.063
Mg: 0.553 0.706 0.937
Mg: 0.622 0.062 0.771
Mg: 0.846 0.227 0.290
In: 0.021 0.638 0.931
In: 0.097 0.075 0.711
In: 0.160 0.447 0.627
In: 0.280 0.825 0.451
In: 0.386 0.296 0.370
In: 0.457 0.629 0.190
In: 0.543 0.371 0.810
In: 0.614 0.704 0.630
In: 0.720 0.175 0.549
In: 0.840 0.553 0.373
In: 0.903 0.925 0.289
In: 0.979 0.362 0.069
Hg: 0.500 0.000 0.000